Theoretical powder XRD pattern of Ta4Ti5W for CuKα, from the PBE geometry in Alexandria.
No peak broadening, texture or thermal motion is included.

Principal peaks in the range 2θ = 15–90°, in order of rising 2θ:
| two_theta | d_spacing | Rel. int. |
| --- | --- | --- |
| 20.19 | 4.399 | 30 |
| 34.84 | 2.575 | 53 |
| 36.82 | 2.441 | 100 |
| 37.82 | 2.379 | 45 |
| 38.51 | 2.338 | 52 |
| 38.79 | 2.321 | 26 |
| 41.69 | 2.166 | 41 |
| 41.96 | 2.153 | 58 |
| 42.77 | 2.114 | 45 |
| 65.51 | 1.425 | 24 |

Crystal structure
a = 7.2830 Å, b = 7.2830 Å, c = 9.8321 Å
α = 115.97°, β = 115.97°, γ = 22.50°
Sites, in units of the cell vectors:
Ta1 0.0770 0.0770 0.2881
Ta2 0.3817 0.3817 0.2177
Ta3 0.6183 0.6183 0.7823
Ta4 0.9230 0.9230 0.7119
Ti1 0.1771 0.1771 0.0618
Ti2 0.2224 0.2224 0.6119
Ti3 0.5000 0.5000 0.5000
Ti4 0.7776 0.7776 0.3881
Ti5 0.8229 0.8229 0.9382
W1 0.5000 0.5000 0.0000